Structure and calculated X-ray diffraction stick pattern of DyCu4Ni4 (DFT lattice parameters and positions (GGA-PBE); λ = 1.5418 Å (Cu Kα)).

Structural model:
Cell lengths 5.873, 5.873, 5.873 Å; angles 95.94, 95.94, 142.46 degrees
Atoms (fractional coordinates):
Dy: 0.000 0.000 0.000
Cu: 0.319 0.319 0.638
Cu: 0.319 0.681 0.000
Cu: 0.681 0.319 0.000
Cu: 0.681 0.681 0.362
Ni: 0.000 0.345 0.345
Ni: 0.000 0.655 0.655
Ni: 0.345 0.000 0.345
Ni: 0.655 0.000 0.655

Peak list (10 most intense, 10 to 80 degrees two-theta, sorted by position)
15.9°, d = 5.561 Å, I = 4
26.2°, d = 3.406 Å, I = 8
32.2°, d = 2.780 Å, I = 7
34.8°, d = 2.575 Å, I = 9
41.9°, d = 2.154 Å, I = 100
48.2°, d = 1.890 Å, I = 18
49.2°, d = 1.854 Å, I = 30
68.9°, d = 1.362 Å, I = 7
71.3°, d = 1.323 Å, I = 18
72.1°, d = 1.311 Å, I = 8